Calculated powder X-ray diffraction pattern
Compound: TlCuMoF6
Radiation: Cu Kα (λ = 1.5418 Å)
Structure: a structure optimized by DFT (PBE+U)
Kinematic intensities with the Lorentz-polarization factor, no thermal factor.

Crystal structure
```
data_TlCuMoF6
_chemical_formula_sum 'Tl1 Cu1 Mo1 F6'
_cell_length_a 5.656
_cell_length_b 5.664
_cell_length_c 5.743
_cell_angle_alpha 92.91
_cell_angle_beta 90.86
_cell_angle_gamma 112.34
_symmetry_space_group_name_H-M 'P 1'
_symmetry_Int_Tables_number 1
loop_
_symmetry_equiv_pos_as_xyz
'x,y,z'
loop_
_atom_site_label
_atom_site_fract_x
_atom_site_fract_y
_atom_site_fract_z
Tl1 0.000 0.000 0.000
Cu1 0.691 0.281 0.534
Mo1 0.360 0.638 0.496
F1 0.083 0.700 0.335
F2 0.086 0.332 0.636
F3 0.363 0.870 0.767
F4 0.383 0.417 0.224
F5 0.633 0.960 0.360
F6 0.646 0.575 0.673
```

Most intense lines, 2θ from 5° to 70°, by angle:
index	Position (°2θ)	d/Å	I_rel
0 1 -1	22.30	3.986	82
1 0 -1	22.59	3.936	100
1 0 1	23.45	3.793	71
0 1 1	23.72	3.751	92
1 -1 1	24.23	3.673	90
-1 1 1	24.75	3.597	71
1 1 0	28.37	3.146	80
0 0 2	31.21	2.866	45
2 -1 0	31.91	2.805	84
-1 2 2	46.31	1.961	57